Tm4AlCu3: theoretical PXRD pattern (λ = 1.5418 Å (Cu Kα)), based on a GGA-PBE-relaxed structure.
Lines closer than 0.1° are merged.

Most intense lines, 2θ = 10–90°, in order of falling intensity:
two_theta	I_rel
36.80	100
25.68	29
36.56	26
36.70	25
65.98	18
66.40	17
52.77	17
66.16	17

Atomic structure:
Unit cell a=3.438 b=4.915 c=9.794 alpha=90.00 beta=90.00 gamma=90.00
Space group Pmmm (No. 47)
Asymmetric unit:
Tm 0.000 0.000 0.000
Tm 0.000 0.000 0.500
Tm 0.000 0.500 0.241
Al 0.500 0.500 0.500
Cu 0.500 0.000 0.257
Cu 0.500 0.500 0.000

***

Tm2Al9Cu6: theoretical PXRD pattern (λ = 1.5418 Å (Cu Kα)), based on a GGA-PBE-relaxed structure.
Lines closer than 0.1° are merged.

Most intense lines, 2θ = 10–90°, in order of falling intensity:
two_theta	I_rel
40.65	100
33.88	54
21.80	30
20.70	24
65.21	23
57.03	23
44.44	18
24.27	15

Atomic structure:
Unit cell a=5.2922 b=5.2922 c=12.2321 alpha=90.00 beta=90.00 gamma=120.00
Space group P6/mmm (No. 191)
Asymmetric unit:
Tm 0.0000 0.0000 0.1657
Al 0.0000 0.5000 0.0000
Al 0.0000 0.5000 0.3360
Cu 0.3333 0.6667 0.1674
Cu 0.3333 0.6667 0.5000